Theoretical XRD peak list
Compound: La5PrTe8
Radiation: CuKα
Structure: the PBE geometry in Alexandria
No peak broadening, texture or thermal motion is included.

Largest 12 diffraction maxima, low angle first, 2θ = 5–70°:
two_theta	Rel. int.
22.53	9.8
29.17	92.7
29.27	45.4
34.71	100.0
41.74	13.9
43.92	15.1
45.98	22.3
47.94	16.2
58.81	25.7
58.99	13.6
60.49	10.9
62.19	13.9

```
La5PrTe8
1.0
-4.841 4.841 4.822
4.841 -4.841 4.822
4.841 4.841 -4.822
La Pr Te
5 1 8
Direct
0.000 0.000 0.000
0.246 0.125 0.621
0.375 0.754 0.879
0.504 0.625 0.379
0.875 0.496 0.121
0.750 0.250 0.500
0.124 0.375 0.403
0.125 0.373 0.900
0.278 0.876 0.251
0.473 0.225 0.100
0.625 0.027 0.749
0.627 0.527 0.752
0.775 0.875 0.248
0.973 0.722 0.597
```

=====

Theoretical XRD peak list
Compound: La3Pr3Th
Radiation: CuKα
Structure: the PBE geometry in Alexandria
No peak broadening, texture or thermal motion is included.

Largest 12 diffraction maxima, low angle first, 2θ = 5–70°:
two_theta	Rel. int.
7.34	29.4
26.54	19.4
27.10	16.0
29.68	52.5
30.59	52.9
30.77	16.4
31.79	14.3
32.36	100.0
32.56	90.9
49.77	25.0
51.95	15.7
59.58	15.9

```
La3Pr3Th
1.0
11.691 0.000 0.000
0.000 3.662 0.000
-0.161 0.000 12.040
La Pr Th
6 6 2
Direct
0.012 0.250 0.365
0.052 0.250 0.892
0.448 0.250 0.885
0.552 0.750 0.115
0.948 0.750 0.108
0.988 0.750 0.635
0.249 0.250 0.686
0.257 0.250 0.152
0.259 0.750 0.429
0.741 0.250 0.571
0.743 0.750 0.848
0.751 0.750 0.314
0.497 0.750 0.628
0.503 0.250 0.372
```

=====

Theoretical XRD peak list
Compound: LaPr4Th2
Radiation: CuKα
Structure: the PBE geometry in Alexandria
No peak broadening, texture or thermal motion is included.

Largest 12 diffraction maxima, low angle first, 2θ = 5–70°:
two_theta	Rel. int.
19.23	16.2
20.48	24.8
25.75	22.4
30.29	100.0
31.18	76.8
33.47	49.4
35.49	18.1
44.68	23.8
52.89	16.0
53.28	14.1
54.91	19.0
63.01	11.7

```
LaPr4Th2
1.0
5.789 0.000 0.000
0.000 5.740 0.000
-1.074 0.000 7.761
La Pr Th
1 4 2
Direct
0.000 0.000 0.000
0.115 0.500 0.300
0.495 0.000 0.724
0.505 0.000 0.276
0.885 0.500 0.700
0.000 0.000 0.500
0.500 0.500 0.000
```

=====

Theoretical XRD peak list
Compound: La5Pr2Th2
Radiation: CuKα
Structure: the PBE geometry in Alexandria
No peak broadening, texture or thermal motion is included.

Largest 12 diffraction maxima, low angle first, 2θ = 5–70°:
two_theta	Rel. int.
29.66	100.0
29.79	99.4
34.30	34.3
34.50	33.5
34.56	33.5
49.44	48.2
49.57	12.2
49.80	11.9
58.51	7.3
58.66	22.0
58.79	21.1
59.01	21.1

```
La5Pr2Th2
1.0
6.372 0.000 0.000
1.086 6.295 0.000
2.152 0.648 7.916
La Pr Th
5 2 2
Direct
0.000 0.000 0.000
0.117 0.223 0.550
0.453 0.883 0.237
0.547 0.117 0.763
0.883 0.777 0.450
0.221 0.444 0.111
0.779 0.556 0.889
0.337 0.661 0.662
0.663 0.339 0.338
```

=====

Theoretical XRD peak list
Compound: La6Pr2Th
Radiation: CuKα
Structure: the PBE geometry in Alexandria
No peak broadening, texture or thermal motion is included.

Largest 12 diffraction maxima, low angle first, 2θ = 5–70°:
two_theta	Rel. int.
27.95	48.4
28.69	9.3
28.84	52.6
30.81	75.3
32.32	100.0
40.60	34.0
49.45	37.6
51.35	9.9
54.32	29.9
58.26	45.0
59.40	11.7
60.32	16.8

```
La6Pr2Th
1.0
3.686 0.000 0.000
-1.843 3.192 0.000
0.000 0.000 27.860
La Pr Th
6 2 1
Direct
0.000 0.000 0.061
0.000 0.000 0.281
0.000 0.000 0.719
0.000 0.000 0.939
0.333 0.667 0.394
0.333 0.667 0.606
0.333 0.667 0.169
0.333 0.667 0.831
0.000 0.000 0.500
```

=====

Theoretical XRD peak list
Compound: La3PrTh
Radiation: CuKα
Structure: the PBE geometry in Alexandria
No peak broadening, texture or thermal motion is included.

Largest 12 diffraction maxima, low angle first, 2θ = 5–70°:
two_theta	Rel. int.
28.60	21.4
28.95	33.0
29.85	21.1
30.18	26.7
30.44	100.0
31.31	40.2
34.36	39.1
34.98	37.3
49.83	19.0
50.81	23.8
51.48	23.5
52.38	18.8

```
La3PrTh
1.0
8.841 -3.373 0.000
8.841 3.373 0.000
-2.330 0.000 5.989
La Pr Th
6 2 2
Direct
0.083 0.612 0.598
0.292 0.292 0.042
0.388 0.917 0.402
0.612 0.083 0.598
0.708 0.708 0.958
0.917 0.388 0.402
0.053 0.053 0.803
0.947 0.947 0.197
0.500 0.500 0.000
0.500 0.500 0.500
```

=====

Theoretical XRD peak list
Compound: La8Pr5Th
Radiation: CuKα
Structure: the PBE geometry in Alexandria
No peak broadening, texture or thermal motion is included.

Largest 12 diffraction maxima, low angle first, 2θ = 5–70°:
two_theta	Rel. int.
29.44	100.0
29.52	33.1
34.09	22.6
34.17	44.9
48.98	16.1
49.11	32.0
58.14	9.6
58.27	33.3
58.37	14.2
61.03	4.2
61.12	8.4
61.26	4.2

```
La8Pr5Th
1.0
7.416 0.000 0.000
-1.838 8.090 0.000
-3.698 -3.390 8.449
La Pr Th
8 5 1
Direct
0.000 0.000 0.000
0.076 0.562 0.867
0.211 0.726 0.582
0.423 0.422 0.146
0.563 0.565 0.865
0.644 0.144 0.724
0.724 0.723 0.582
0.861 0.864 0.300
0.285 0.286 0.445
0.357 0.859 0.294
0.491 0.002 0.002
0.795 0.285 0.445
0.929 0.429 0.155
0.143 0.144 0.724
```

=====

Theoretical XRD peak list
Compound: La5Pr4Th2
Radiation: CuKα
Structure: the PBE geometry in Alexandria
No peak broadening, texture or thermal motion is included.

Largest 12 diffraction maxima, low angle first, 2θ = 5–70°:
two_theta	Rel. int.
28.07	22.1
29.10	20.7
29.70	68.7
30.42	100.0
30.56	66.5
31.07	27.2
31.86	25.1
33.05	24.7
34.61	22.2
51.35	22.7
60.44	18.5
60.90	37.7

```
La5Pr4Th2
1.0
9.172 0.000 0.000
0.000 3.559 0.000
-0.861 0.000 12.108
La Pr Th
5 4 2
Direct
0.000 0.000 0.000
0.085 0.000 0.285
0.305 0.000 0.824
0.695 0.000 0.176
0.915 0.000 0.715
0.199 0.500 0.549
0.346 0.500 0.103
0.654 0.500 0.897
0.801 0.500 0.451
0.451 0.000 0.370
0.549 0.000 0.630
```

=====

Theoretical XRD peak list
Compound: LaPr2Th
Radiation: CuKα
Structure: the PBE geometry in Alexandria
No peak broadening, texture or thermal motion is included.

Largest 12 diffraction maxima, low angle first, 2θ = 5–70°:
two_theta	Rel. int.
7.32	26.8
28.46	36.0
29.59	45.9
30.67	100.0
33.03	70.8
37.61	25.0
49.59	34.4
51.61	25.4
56.23	12.5
58.81	40.0
59.45	15.5
60.88	12.4

```
LaPr2Th
1.0
3.185 -1.838 0.000
3.185 1.838 0.000
-2.133 0.000 12.077
La Pr Th
1 2 1
Direct
0.000 0.000 0.000
0.581 0.581 0.739
0.755 0.755 0.261
0.167 0.167 0.500
```

=====

Theoretical XRD peak list
Compound: La3Pr5Th2
Radiation: CuKα
Structure: the PBE geometry in Alexandria
No peak broadening, texture or thermal motion is included.

Largest 12 diffraction maxima, low angle first, 2θ = 5–70°:
two_theta	Rel. int.
19.91	12.3
28.73	100.0
31.08	95.3
31.63	52.1
32.21	23.8
33.40	22.5
34.88	26.9
40.62	13.7
45.77	18.1
49.18	19.8
55.99	18.1
61.55	28.2

```
La3Pr5Th2
1.0
5.657 -7.245 0.000
5.657 7.245 0.000
-5.640 0.000 8.664
La Pr Th
6 10 4
Direct
0.025 0.275 0.051
0.237 0.763 0.750
0.275 0.025 0.551
0.725 0.975 0.449
0.763 0.237 0.250
0.975 0.725 0.949
0.023 0.977 0.750
0.131 0.378 0.754
0.272 0.728 0.250
0.378 0.131 0.254
0.485 0.515 0.250
0.515 0.485 0.750
0.622 0.869 0.746
0.728 0.272 0.750
0.869 0.622 0.246
0.977 0.023 0.250
0.218 0.470 0.441
0.470 0.218 0.941
0.530 0.782 0.059
0.782 0.530 0.559
```

=====

Theoretical XRD peak list
Compound: La14PrTh
Radiation: CuKα
Structure: the PBE geometry in Alexandria
No peak broadening, texture or thermal motion is included.

Largest 12 diffraction maxima, low angle first, 2θ = 5–70°:
two_theta	Rel. int.
8.41	1.1
11.95	1.2
14.64	0.6
29.52	100.0
34.12	17.0
34.26	33.7
35.29	0.6
49.13	24.2
49.23	12.0
58.27	14.4
58.45	28.6
61.26	12.4

```
La14PrTh
1.0
7.403 0.000 0.000
0.000 7.403 0.000
0.000 0.000 10.510
La Pr Th
14 1 1
Direct
0.000 0.000 0.000
0.000 0.500 0.000
0.000 0.500 0.500
0.243 0.243 0.254
0.243 0.243 0.746
0.243 0.757 0.254
0.243 0.757 0.746
0.500 0.000 0.000
0.500 0.000 0.500
0.500 0.500 0.000
0.757 0.243 0.254
0.757 0.243 0.746
0.757 0.757 0.254
0.757 0.757 0.746
0.500 0.500 0.500
0.000 0.000 0.500
```

=====

Theoretical XRD peak list
Compound: LaPr8Th4
Radiation: CuKα
Structure: the PBE geometry in Alexandria
No peak broadening, texture or thermal motion is included.

Largest 12 diffraction maxima, low angle first, 2θ = 5–70°:
two_theta	Rel. int.
18.76	7.2
22.56	36.5
27.13	10.5
29.99	100.0
34.99	11.9
37.86	58.3
38.21	6.4
53.26	20.3
55.95	19.2
58.56	16.6
62.34	12.7
67.19	11.0

```
LaPr8Th4
1.0
5.958 3.440 3.940
-5.958 3.440 3.940
0.000 -6.880 3.940
La Pr Th
1 8 4
Direct
0.000 0.000 0.000
0.171 0.667 0.667
0.253 0.253 0.253
0.333 0.333 0.829
0.333 0.829 0.333
0.667 0.171 0.667
0.667 0.667 0.171
0.747 0.747 0.747
0.829 0.333 0.333
0.000 0.000 0.500
0.000 0.500 0.000
0.500 0.000 0.000
0.500 0.500 0.500
```

=====

Theoretical XRD peak list
Compound: La8Pr3Th
Radiation: CuKα
Structure: the PBE geometry in Alexandria
No peak broadening, texture or thermal motion is included.

Largest 12 diffraction maxima, low angle first, 2θ = 5–70°:
two_theta	Rel. int.
15.22	19.5
21.41	14.1
30.20	39.3
30.48	27.8
30.79	100.0
34.34	29.0
34.73	18.4
43.62	15.4
49.43	17.8
54.03	12.3
55.16	13.7
64.18	15.7

```
La8Pr3Th
1.0
-3.376 5.743 5.918
3.376 -5.743 5.918
3.376 5.743 -5.918
La Pr Th
8 3 1
Direct
0.088 0.248 0.840
0.264 0.227 0.493
0.266 0.773 0.037
0.407 0.247 0.160
0.593 0.752 0.840
0.734 0.771 0.507
0.736 0.229 0.963
0.912 0.753 0.160
0.220 0.720 0.500
0.500 0.500 0.000
0.780 0.280 0.500
0.000 0.000 0.000
```